[1]
La12MgNi5: computed powder diffraction line list (a wavelength of 1.5418 Å), based on a cell relaxed with GGA-PBE.
Lines closer than 0.1° are merged.

Peak list (6 most intense, 2θ = 10–90°, in order of rising 2θ)
| two_theta | intensity |
| --- | --- |
| 28.6 | 36.9 |
| 30.5 | 56.9 |
| 32.6 | 100.0 |
| 33.2 | 28.1 |
| 33.6 | 26.5 |
| 56.9 | 26.0 |

Structure:
```
data_La12MgNi5
_chemical_formula_sum 'La24 Mg2 Ni10'
_symmetry_space_group_name_H-M 'I m m m'
_symmetry_Int_Tables_number 71
_symmetry_space_group_name_Hall '-I 2 2'
_cell_length_a 9.824
_cell_length_b 10.199
_cell_length_c 10.506
_cell_angle_alpha 90.00
_cell_angle_beta 90.00
_cell_angle_gamma 90.00
loop_
_atom_site_label
_atom_site_fract_x
_atom_site_fract_y
_atom_site_fract_z
La1 0.000 0.188 0.200
La2 0.189 0.500 0.175
La3 0.198 0.325 0.500
Mg1 0.000 0.000 0.500
Ni1 0.000 0.000 0.000
Ni2 0.000 0.367 0.000
Ni3 0.000 0.500 0.373
```

[2]
Mg2TaBr: computed powder diffraction line list (a wavelength of 1.5418 Å), based on a cell relaxed with GGA-PBE.
Lines closer than 0.1° are merged.

Peak list (6 most intense, 2θ = 10–90°, in order of rising 2θ)
| two_theta | intensity |
| --- | --- |
| 10.4 | 41.6 |
| 21.0 | 42.2 |
| 28.3 | 40.5 |
| 35.5 | 100.0 |
| 40.5 | 34.8 |
| 70.4 | 26.8 |

Structure:
```
data_Mg2TaBr
_chemical_formula_sum 'Mg2 Ta1 Br1'
_symmetry_space_group_name_H-M 'P 4/m m m'
_symmetry_Int_Tables_number 123
_symmetry_space_group_name_Hall '-P 4 2'
_cell_length_a 3.150
_cell_length_b 3.150
_cell_length_c 8.466
_cell_angle_alpha 90.00
_cell_angle_beta 90.00
_cell_angle_gamma 90.00
loop_
_atom_site_label
_atom_site_fract_x
_atom_site_fract_y
_atom_site_fract_z
Mg1 0.000 0.000 0.243
Ta1 0.500 0.500 0.000
Br1 0.500 0.500 0.500
```

[3]
Ac2Nd12Sm5: computed powder diffraction line list (a wavelength of 1.5418 Å), based on a cell relaxed with GGA-PBE.
Lines closer than 0.1° are merged.

Peak list (6 most intense, 2θ = 10–90°, in order of rising 2θ)
| two_theta | intensity |
| --- | --- |
| 30.2 | 52.2 |
| 30.6 | 33.7 |
| 30.8 | 100.0 |
| 31.6 | 55.9 |
| 43.5 | 21.9 |
| 53.9 | 27.8 |

Structure:
```
data_Ac2Nd12Sm5
_chemical_formula_sum 'Ac4 Nd24 Sm10'
_symmetry_space_group_name_H-M 'C 1 2/m 1'
_symmetry_Int_Tables_number 12
_symmetry_space_group_name_Hall '-C 2y'
_cell_length_a 13.440
_cell_length_b 11.847
_cell_length_c 9.668
_cell_angle_alpha 90.00
_cell_angle_beta 116.94
_cell_angle_gamma 90.00
loop_
_atom_site_label
_atom_site_fract_x
_atom_site_fract_y
_atom_site_fract_z
Ac1 0.000 0.235 0.000
Nd1 0.076 0.000 0.775
Nd2 0.109 0.219 0.426
Nd3 0.128 0.500 0.944
Nd4 0.190 0.256 0.802
Sm1 0.000 0.500 0.500
Sm2 0.190 0.500 0.329
Sm3 0.192 0.000 0.240
```

[4]
NaZrIn: computed powder diffraction line list (a wavelength of 1.5418 Å), based on a cell relaxed with GGA-PBE.
Lines closer than 0.1° are merged.

Peak list (6 most intense, 2θ = 10–90°, in order of rising 2θ)
| two_theta | intensity |
| --- | --- |
| 32.6 | 54.7 |
| 33.7 | 100.0 |
| 34.7 | 47.5 |
| 36.9 | 34.0 |
| 40.0 | 32.2 |
| 40.3 | 31.5 |

Structure:
```
data_NaZrIn
_chemical_formula_sum 'Na2 Zr2 In2'
_symmetry_space_group_name_H-M 'P -1'
_symmetry_Int_Tables_number 2
_symmetry_space_group_name_Hall '-P 1'
_cell_length_a 3.174
_cell_length_b 5.453
_cell_length_c 9.137
_cell_angle_alpha 79.59
_cell_angle_beta 80.24
_cell_angle_gamma 73.43
loop_
_atom_site_label
_atom_site_fract_x
_atom_site_fract_y
_atom_site_fract_z
Na1 0.159 0.264 0.422
Zr1 0.170 0.735 0.927
In1 0.499 0.231 0.772
```

[5]
ErBe8As6: computed powder diffraction line list (a wavelength of 1.5418 Å), based on a cell relaxed with GGA-PBE.
Lines closer than 0.1° are merged.

Peak list (6 most intense, 2θ = 10–90°, in order of rising 2θ)
| two_theta | intensity |
| --- | --- |
| 26.4 | 86.8 |
| 29.3 | 96.5 |
| 30.5 | 67.4 |
| 34.0 | 100.0 |
| 39.8 | 63.0 |
| 46.5 | 58.6 |

Structure:
```
data_ErBe8As6
_chemical_formula_sum 'Er2 Be16 As12'
_symmetry_space_group_name_H-M 'P 63 c m'
_symmetry_Int_Tables_number 185
_symmetry_space_group_name_Hall 'P 6c -2'
_cell_length_a 6.7597
_cell_length_b 6.7597
_cell_length_c 12.1857
_cell_angle_alpha 90.00
_cell_angle_beta 90.00
_cell_angle_gamma 120.00
loop_
_atom_site_label
_atom_site_fract_x
_atom_site_fract_y
_atom_site_fract_z
Er1 0.0000 0.0000 0.0000
Be1 0.0000 0.3433 0.1802
Be2 0.0000 0.3430 0.8294
Be3 0.3333 0.6667 0.4343
As1 0.0000 0.0000 0.2508
As2 0.0000 0.4150 0.0041
As3 0.3333 0.6667 0.2461
```

[6]
Na3La2PmSe6: computed powder diffraction line list (a wavelength of 1.5418 Å), based on a cell relaxed with GGA-PBE.
Lines closer than 0.1° are merged.

Peak list (6 most intense, 2θ = 10–90°, in order of rising 2θ)
| two_theta | intensity |
| --- | --- |
| 12.7 | 37.3 |
| 24.0 | 19.1 |
| 29.2 | 100.0 |
| 41.6 | 38.1 |
| 42.1 | 36.0 |
| 51.7 | 19.9 |

Structure:
```
data_Na3La2PmSe6
_chemical_formula_sum 'Na6 La4 Pm2 Se12'
_symmetry_space_group_name_H-M 'C 1 2/m 1'
_symmetry_Int_Tables_number 12
_symmetry_space_group_name_Hall '-C 2y'
_cell_length_a 18.756
_cell_length_b 4.342
_cell_length_c 8.589
_cell_angle_alpha 90.00
_cell_angle_beta 102.34
_cell_angle_gamma 90.00
loop_
_atom_site_label
_atom_site_fract_x
_atom_site_fract_y
_atom_site_fract_z
Na1 0.000 0.000 0.000
Na2 0.166 0.500 0.332
La1 0.166 0.500 0.830
Pm1 0.000 0.000 0.500
Se1 0.002 0.500 0.738
Se2 0.162 0.000 0.586
Se3 0.169 0.000 0.076
```

[7]
Mo3Pd3Pt: computed powder diffraction line list (a wavelength of 1.5418 Å), based on a cell relaxed with GGA-PBE.
Lines closer than 0.1° are merged.

Peak list (6 most intense, 2θ = 10–90°, in order of rising 2θ)
| two_theta | intensity |
| --- | --- |
| 38.3 | 49.0 |
| 40.3 | 43.9 |
| 41.4 | 100.0 |
| 44.7 | 79.9 |
| 67.9 | 30.6 |
| 82.1 | 32.0 |

Structure:
```
data_Mo3Pd3Pt
_chemical_formula_sum 'Mo18 Pd18 Pt6'
_symmetry_space_group_name_H-M 'R -3 m'
_symmetry_Int_Tables_number 166
_symmetry_space_group_name_Hall '-R 3 2"'
_cell_length_a 5.5190
_cell_length_b 5.5190
_cell_length_c 26.8345
_cell_angle_alpha 90.00
_cell_angle_beta 90.00
_cell_angle_gamma 120.00
loop_
_atom_site_label
_atom_site_fract_x
_atom_site_fract_y
_atom_site_fract_z
Mo1 0.0171 0.5085 0.2135
Pd1 0.0049 0.5024 0.3748
Pt1 0.0000 0.0000 0.2008
```

[8]
Pm3Ho2Mg: computed powder diffraction line list (a wavelength of 1.5418 Å), based on a cell relaxed with GGA-PBE.
Lines closer than 0.1° are merged.

Peak list (6 most intense, 2θ = 10–90°, in order of rising 2θ)
| two_theta | intensity |
| --- | --- |
| 30.9 | 100.0 |
| 35.1 | 35.5 |
| 37.4 | 14.5 |
| 50.5 | 12.7 |
| 52.2 | 20.8 |
| 60.4 | 31.0 |

Structure:
```
data_Pm3Ho2Mg
_chemical_formula_sum 'Pm3 Ho2 Mg1'
_symmetry_space_group_name_H-M 'P 4/m m m'
_symmetry_Int_Tables_number 123
_symmetry_space_group_name_Hall '-P 4 2'
_cell_length_a 3.617
_cell_length_b 3.617
_cell_length_c 14.433
_cell_angle_alpha 90.00
_cell_angle_beta 90.00
_cell_angle_gamma 90.00
loop_
_atom_site_label
_atom_site_fract_x
_atom_site_fract_y
_atom_site_fract_z
Pm1 0.000 0.000 0.000
Pm2 0.000 0.000 0.346
Ho1 0.500 0.500 0.174
Mg1 0.500 0.500 0.500
```

[9]
KTl6In6: computed powder diffraction line list (a wavelength of 1.5418 Å), based on a cell relaxed with GGA-PBE.
Lines closer than 0.1° are merged.

Peak list (6 most intense, 2θ = 10–90°, in order of rising 2θ)
| two_theta | intensity |
| --- | --- |
| 27.8 | 62.6 |
| 32.0 | 71.3 |
| 32.0 | 79.8 |
| 32.6 | 73.0 |
| 35.8 | 97.2 |
| 36.4 | 100.0 |

Structure:
```
data_KTl6In6
_chemical_formula_sum 'K2 Tl12 In12'
_symmetry_space_group_name_H-M 'I m m m'
_symmetry_Int_Tables_number 71
_symmetry_space_group_name_Hall '-I 2 2'
_cell_length_a 6.293
_cell_length_b 11.215
_cell_length_c 11.286
_cell_angle_alpha 90.00
_cell_angle_beta 90.00
_cell_angle_gamma 90.00
loop_
_atom_site_label
_atom_site_fract_x
_atom_site_fract_y
_atom_site_fract_z
K1 0.000 0.000 0.000
Tl1 0.000 0.000 0.355
Tl2 0.000 0.305 0.500
Tl3 0.000 0.352 0.000
In1 0.000 0.500 0.274
In2 0.250 0.250 0.250
```

[10]
Sm4Se: computed powder diffraction line list (a wavelength of 1.5418 Å), based on a cell relaxed with GGA-PBE.
Lines closer than 0.1° are merged.

Peak list (6 most intense, 2θ = 10–90°, in order of rising 2θ)
| two_theta | intensity |
| --- | --- |
| 27.7 | 100.0 |
| 32.1 | 87.8 |
| 46.0 | 64.5 |
| 54.5 | 46.0 |
| 57.2 | 22.5 |
| 76.3 | 28.9 |

Structure:
```
data_Sm4Se
_chemical_formula_sum 'Sm4 Se1'
_symmetry_space_group_name_H-M 'P m -3 m'
_symmetry_Int_Tables_number 221
_symmetry_space_group_name_Hall '-P 4 2 3'
_cell_length_a 5.582
_cell_length_b 5.582
_cell_length_c 5.582
_cell_angle_alpha 90.00
_cell_angle_beta 90.00
_cell_angle_gamma 90.00
loop_
_atom_site_label
_atom_site_fract_x
_atom_site_fract_y
_atom_site_fract_z
Sm1 0.000 0.000 0.000
Sm2 0.000 0.500 0.500
Se1 0.500 0.500 0.500
```

[11]
Sr11Cd6Sb12: computed powder diffraction line list (a wavelength of 1.5418 Å), based on a cell relaxed with GGA-PBE.
Lines closer than 0.1° are merged.

Peak list (6 most intense, 2θ = 10–90°, in order of rising 2θ)
| two_theta | intensity |
| --- | --- |
| 28.4 | 58.8 |
| 28.8 | 80.5 |
| 30.2 | 51.8 |
| 30.5 | 41.0 |
| 37.2 | 100.0 |
| 39.7 | 40.6 |

Structure:
```
data_Sr11Cd6Sb12
_chemical_formula_sum 'Sr22 Cd12 Sb24'
_symmetry_space_group_name_H-M 'C 1 2/m 1'
_symmetry_Int_Tables_number 12
_symmetry_space_group_name_Hall '-C 2y'
_cell_length_a 33.270
_cell_length_b 4.840
_cell_length_c 12.732
_cell_angle_alpha 90.00
_cell_angle_beta 109.95
_cell_angle_gamma 90.00
loop_
_atom_site_label
_atom_site_fract_x
_atom_site_fract_y
_atom_site_fract_z
Sr1 0.000 0.000 0.000
Sr2 0.019 0.000 0.681
Sr3 0.114 0.000 0.506
Sr4 0.126 0.000 0.016
Sr5 0.201 0.000 0.344
Sr6 0.222 0.500 0.867
Cd1 0.048 0.500 0.245
Cd2 0.100 0.500 0.745
Cd3 0.219 0.000 0.667
Sb1 0.043 0.500 0.500
Sb2 0.047 0.500 0.885
Sb3 0.090 0.000 0.233
Sb4 0.150 0.000 0.784
Sb5 0.191 0.500 0.529
Sb6 0.205 0.500 0.134
```

[12]
Pr4Y6Ho5: computed powder diffraction line list (a wavelength of 1.5418 Å), based on a cell relaxed with GGA-PBE.
Lines closer than 0.1° are merged.

Peak list (6 most intense, 2θ = 10–90°, in order of rising 2θ)
| two_theta | intensity |
| --- | --- |
| 30.5 | 100.0 |
| 35.3 | 33.6 |
| 35.4 | 16.7 |
| 50.8 | 35.5 |
| 60.3 | 14.0 |
| 60.4 | 27.9 |

Structure:
```
data_Pr4Y6Ho5
_chemical_formula_sum 'Pr16 Y24 Ho20'
_symmetry_space_group_name_H-M 'C m c 21'
_symmetry_Int_Tables_number 36
_symmetry_space_group_name_Hall 'C 2c -2'
_cell_length_a 5.081
_cell_length_b 25.474
_cell_length_c 15.232
_cell_angle_alpha 90.00
_cell_angle_beta 90.00
_cell_angle_gamma 90.00
loop_
_atom_site_label
_atom_site_fract_x
_atom_site_fract_y
_atom_site_fract_z
Pr1 0.000 0.050 0.000
Pr2 0.000 0.051 0.669
Pr3 0.000 0.150 0.500
Pr4 0.000 0.151 0.169
Y1 0.000 0.051 0.335
Y2 0.000 0.249 0.000
Y3 0.000 0.250 0.669
Y4 0.000 0.349 0.169
Y5 0.000 0.449 0.335
Y6 0.000 0.449 0.668
Ho1 0.000 0.151 0.835
Ho2 0.000 0.251 0.335
Ho3 0.000 0.349 0.500
Ho4 0.000 0.349 0.835
Ho5 0.000 0.449 0.001
```